Diffraction record for LiCu2B2H8Cl2O8. The powder XRD pattern is theoretical, not measured: it uses a crystal structure in Alexandria, relaxed with GGA-PBE and Cu Kα.
No peak broadening, texture or thermal motion is included.

Most intense lines, 2θ from 10° to 90°, by angle:
2θ/deg, intensity
16.98, 49
19.32, 66
21.84, 36
27.45, 100
37.12, 82
44.07, 56
46.78, 41
55.10, 34

Structural model:
```
LiCu2B2H8Cl2O8
1.0
6.498 0.000 0.000
0.000 6.498 0.000
0.000 0.000 5.220
Li Cu B H Cl O
1 2 2 8 2 8
direct
0.000 0.000 0.000
0.000 0.500 0.645
0.500 0.000 0.355
0.000 0.000 0.500
0.500 0.500 0.500
0.170 0.779 0.317
0.221 0.170 0.683
0.328 0.354 0.230
0.354 0.672 0.770
0.646 0.328 0.770
0.672 0.646 0.230
0.779 0.830 0.683
0.830 0.221 0.317
0.000 0.500 0.151
0.500 0.000 0.849
0.070 0.170 0.670
0.170 0.930 0.330
0.320 0.553 0.662
0.447 0.320 0.338
0.553 0.680 0.338
0.680 0.447 0.662
0.830 0.070 0.330
0.930 0.830 0.670
```

Diffraction record for Pm5Er2In4. The powder XRD pattern is theoretical, not measured: it uses a crystal structure in Alexandria, relaxed with GGA-PBE and Cu Kα.
No peak broadening, texture or thermal motion is included.

Most intense lines, 2θ from 10° to 90°, by angle:
2θ/deg, intensity
30.77, 27
30.95, 23
32.20, 39
33.24, 100
33.68, 44
34.07, 23
34.27, 23
36.45, 44

Structural model:
```
Pm5Er2In4
1.0
8.756 0.000 0.000
0.000 3.429 0.000
-1.025 0.000 10.647
Pm Er In
5 2 4
direct
0.000 0.000 0.000
0.038 0.000 0.335
0.341 0.000 0.859
0.659 0.000 0.141
0.962 0.000 0.665
0.418 0.000 0.362
0.582 0.000 0.638
0.258 0.500 0.576
0.300 0.500 0.125
0.700 0.500 0.875
0.742 0.500 0.424
```

Diffraction record for Pu3Cd4Au4. The powder XRD pattern is theoretical, not measured: it uses a crystal structure in Alexandria, relaxed with GGA-PBE and Cu Kα.
No peak broadening, texture or thermal motion is included.

Most intense lines, 2θ from 10° to 90°, by angle:
2θ/deg, intensity
15.74, 9
33.26, 10
35.26, 26
35.85, 100
36.79, 32
38.82, 16
54.55, 12
65.65, 17

Structural model:
```
Pu3Cd4Au4
1.0
9.279 0.000 0.000
0.000 2.443 5.630
0.000 -2.443 5.630
Pu Cd Au
3 4 4
direct
0.000 0.000 0.000
0.298 0.125 0.125
0.702 0.125 0.125
0.000 0.294 0.294
0.275 0.825 0.825
0.500 0.378 0.378
0.725 0.825 0.825
0.000 0.667 0.667
0.219 0.469 0.469
0.500 0.651 0.651
0.781 0.469 0.469
```

Diffraction record for ScSb2Pd6. The powder XRD pattern is theoretical, not measured: it uses a crystal structure in Alexandria, relaxed with GGA-PBE and Cu Kα.
No peak broadening, texture or thermal motion is included.

Most intense lines, 2θ from 10° to 90°, by angle:
2θ/deg, intensity
37.67, 100
38.49, 95
42.21, 47
45.15, 28
45.36, 26
63.51, 20
63.68, 18
74.16, 15

Structural model:
```
ScSb2Pd6
1.0
4.542 -2.141 0.000
4.542 2.141 0.000
-2.610 0.000 7.960
Sc Sb Pd
1 2 6
direct
0.000 0.000 0.000
0.305 0.305 0.749
0.695 0.695 0.251
0.009 0.009 0.323
0.339 0.339 0.439
0.347 0.347 0.095
0.653 0.653 0.905
0.661 0.661 0.561
0.991 0.991 0.677
```

Diffraction record for Pr3Sn3Rh2. The powder XRD pattern is theoretical, not measured: it uses a crystal structure in Alexandria, relaxed with GGA-PBE and Cu Kα.
No peak broadening, texture or thermal motion is included.

Most intense lines, 2θ from 10° to 90°, by angle:
2θ/deg, intensity
30.96, 100
31.39, 43
31.92, 55
34.42, 100
34.74, 63
35.92, 73
39.12, 57
44.89, 35

Structural model:
```
Pr3Sn3Rh2
1.0
8.569 0.000 0.000
0.000 15.639 0.000
0.000 0.000 6.043
Pr Sn Rh
12 12 8
direct
0.032 0.111 0.116
0.032 0.389 0.116
0.171 0.250 0.632
0.329 0.750 0.132
0.468 0.611 0.616
0.468 0.889 0.616
0.532 0.111 0.384
0.532 0.389 0.384
0.671 0.250 0.868
0.829 0.750 0.368
0.968 0.611 0.884
0.968 0.889 0.884
0.178 0.750 0.617
0.188 0.034 0.613
0.188 0.466 0.613
0.312 0.534 0.113
0.312 0.966 0.113
0.322 0.250 0.117
0.678 0.750 0.883
0.688 0.034 0.887
0.688 0.466 0.887
0.812 0.534 0.387
0.812 0.966 0.387
0.822 0.250 0.383
0.092 0.609 0.369
0.092 0.891 0.369
0.408 0.109 0.869
0.408 0.391 0.869
0.592 0.609 0.131
0.592 0.891 0.131
0.908 0.109 0.631
0.908 0.391 0.631
```

Diffraction record for UInRu2. The powder XRD pattern is theoretical, not measured: it uses a crystal structure in Alexandria, relaxed with GGA-PBE and Cu Kα.
No peak broadening, texture or thermal motion is included.

Most intense lines, 2θ from 10° to 90°, by angle:
2θ/deg, intensity
19.64, 10
38.09, 100
39.89, 44
52.18, 14
57.69, 15
67.62, 19
71.24, 33
81.49, 12

Structural model:
```
UInRu2
1.0
4.520 0.000 0.000
0.000 4.520 0.000
0.000 0.000 3.507
U In Ru
1 1 2
direct
0.000 0.000 0.000
0.500 0.500 0.000
0.000 0.500 0.500
0.500 0.000 0.500
```